The following is a computed XRD peak list of Na2Ga5Au12. It was derived from DFT lattice parameters and positions (GGA-PBE), using Cu Ka.
Peak positions follow from Bragg's law for the DFT cell and can differ from measured ones.

The 10 most intense peaks (2θ = 10–90°), sorted by position:
| d/Å | I (rel.) |
| --- | --- |
| 4.766 | 59.5 |
| 2.751 | 17.5 |
| 2.379 | 100.0 |
| 2.367 | 29.8 |
| 2.128 | 75.0 |
| 2.120 | 28.5 |
| 1.376 | 16.4 |
| 1.369 | 15.5 |
| 1.316 | 16.5 |
| 1.189 | 16.1 |

```
data_Na2Ga5Au12
_chemical_formula_sum 'Na2 Ga5 Au12'
_cell_length_a 7.2588
_cell_length_b 7.2588
_cell_length_c 7.2588
_cell_angle_alpha 82.07
_cell_angle_beta 82.07
_cell_angle_gamma 82.07
_symmetry_space_group_name_H-M 'P 1'
_symmetry_Int_Tables_number 1
_symmetry_space_group_name_Hall 'P 1'
loop_
_atom_site_label
_atom_site_fract_x
_atom_site_fract_y
_atom_site_fract_z
_atom_site_occupancy
Na1 0.1393 0.1393 0.1393 1
Na2 0.8607 0.8607 0.8607 1
Ga1 0.0000 0.5000 0.5000 1
Ga2 0.4133 0.4133 0.4133 1
Ga3 0.5000 0.0000 0.5000 1
Ga4 0.5000 0.5000 0.0000 1
Ga5 0.5867 0.5867 0.5867 1
Au1 0.1715 0.5000 0.8285 1
Au2 0.1715 0.8285 0.5000 1
Au3 0.1767 0.1767 0.6352 1
Au4 0.1767 0.6352 0.1767 1
Au5 0.3648 0.8233 0.8233 1
Au6 0.5000 0.1715 0.8285 1
Au7 0.5000 0.8285 0.1715 1
Au8 0.6352 0.1767 0.1767 1
Au9 0.8233 0.3648 0.8233 1
Au10 0.8233 0.8233 0.3648 1
Au11 0.8285 0.1715 0.5000 1
Au12 0.8285 0.5000 0.1715 1
```

The following is a computed XRD peak list of RbSmTe3Au. It was derived from DFT lattice parameters and positions (GGA-PBE), using Cu Ka.
Peak positions follow from Bragg's law for the DFT cell and can differ from measured ones.

The 10 most intense peaks (2θ = 10–90°), sorted by position:
| d/Å | I (rel.) |
| --- | --- |
| 8.709 | 100.0 |
| 3.480 | 22.4 |
| 3.331 | 59.1 |
| 2.971 | 65.4 |
| 2.845 | 24.3 |
| 2.704 | 13.1 |
| 2.454 | 47.9 |
| 2.178 | 29.0 |
| 1.906 | 20.1 |
| 1.877 | 13.4 |

```
data_RbSmTe3Au
_chemical_formula_sum 'Rb2 Sm2 Te6 Au2'
_cell_length_a 8.9774
_cell_length_b 8.9774
_cell_length_c 11.3804
_cell_angle_alpha 90.00
_cell_angle_beta 90.00
_cell_angle_gamma 151.92
_symmetry_space_group_name_H-M 'P 1'
_symmetry_Int_Tables_number 1
_symmetry_space_group_name_Hall 'P 1'
loop_
_atom_site_label
_atom_site_fract_x
_atom_site_fract_y
_atom_site_fract_z
_atom_site_occupancy
Rb1 0.2447 0.7553 0.7500 1
Rb2 0.7553 0.2447 0.2500 1
Sm1 0.0000 0.0000 0.0000 1
Sm2 0.0000 0.0000 0.5000 1
Te1 0.0774 0.9226 0.2500 1
Te2 0.3755 0.6245 0.0593 1
Te3 0.3755 0.6245 0.4407 1
Te4 0.6245 0.3755 0.5593 1
Te5 0.6245 0.3755 0.9407 1
Te6 0.9226 0.0774 0.7500 1
Au1 0.4744 0.5256 0.2500 1
Au2 0.5256 0.4744 0.7500 1
```

The following is a computed XRD peak list of Mg2Ge2Pb. It was derived from DFT lattice parameters and positions (GGA-PBE), using Cu Ka.
Peak positions follow from Bragg's law for the DFT cell and can differ from measured ones.

The 10 most intense peaks (2θ = 10–90°), sorted by position:
| d/Å | I (rel.) |
| --- | --- |
| 5.546 | 47.9 |
| 4.228 | 24.4 |
| 3.233 | 80.1 |
| 2.875 | 100.0 |
| 2.793 | 95.4 |
| 2.286 | 56.5 |
| 1.996 | 55.0 |
| 1.789 | 51.0 |
| 1.504 | 44.3 |
| 1.399 | 23.3 |

```
data_Mg2Ge2Pb
_chemical_formula_sum 'Mg2 Ge2 Pb1'
_cell_length_a 6.4196
_cell_length_b 6.4196
_cell_length_c 6.4196
_cell_angle_alpha 138.27
_cell_angle_beta 138.27
_cell_angle_gamma 60.49
_symmetry_space_group_name_H-M 'P 1'
_symmetry_Int_Tables_number 1
_symmetry_space_group_name_Hall 'P 1'
loop_
_atom_site_label
_atom_site_fract_x
_atom_site_fract_y
_atom_site_fract_z
_atom_site_occupancy
Mg1 0.2500 0.7500 0.5000 1
Mg2 0.7500 0.2500 0.5000 1
Ge1 0.1107 0.1107 0.0000 1
Ge2 0.8893 0.8893 0.0000 1
Pb1 0.5000 0.5000 0.0000 1
```